Computed powder diffraction line list
Compound: Hf3MnSe8
Radiation: a wavelength of 1.5418 Å
Structure: a structure optimized by DFT (PBE)

Crystal structure
```
data_Hf3MnSe8
_chemical_formula_sum 'Hf6 Mn2 Se16'
_cell_length_a 12.822
_cell_length_b 7.414
_cell_length_c 8.232
_cell_angle_alpha 90.00
_cell_angle_beta 121.73
_cell_angle_gamma 90.00
_symmetry_space_group_name_H-M 'C 1 2/m 1'
_symmetry_Int_Tables_number 12
_symmetry_space_group_name_Hall '-C 2y'
loop_
_atom_site_label
_atom_site_type_symbol
_atom_site_fract_x
_atom_site_fract_y
_atom_site_fract_z
_atom_site_occupancy
Hf1 Hf 0.000 0.000 0.000 1
Hf2 Hf 0.250 0.250 0.000 1
Mn1 Mn 0.000 0.500 0.000 1
Se1 Se 0.005 0.262 0.780 1
Se2 Se 0.233 0.500 0.220 1
Se3 Se 0.244 0.000 0.229 1
```

Most intense lines, 2θ from 10° to 90°, low angle first:
(hkl)  2theta  d [Å]  Rel. int.
0 0 1  12.64  7.001  1000
4 0 -1  28.14  3.171  287
2 2 -2  32.64  2.743  627
4 0 0  32.85  2.727  317
2 2 -3  41.10  2.196  167
4 0 -4  44.43  2.039  120
2 2 2  44.68  2.028  241
0 4 0  49.19  1.852  299
6 2 -3  50.95  1.792  123
4 4 0  60.39  1.533  106

=====

Computed powder diffraction line list
Compound: RbNi2Pb2
Radiation: a wavelength of 1.5418 Å
Structure: a structure optimized by DFT (PBE)

Crystal structure
```
data_RbNi2Pb2
_chemical_formula_sum 'Rb2 Ni4 Pb4'
_cell_length_a 4.713
_cell_length_b 4.713
_cell_length_c 12.134
_cell_angle_alpha 90.00
_cell_angle_beta 90.00
_cell_angle_gamma 90.00
_symmetry_space_group_name_H-M 'I 4/m m m'
_symmetry_Int_Tables_number 139
_symmetry_space_group_name_Hall '-I 4 2'
loop_
_atom_site_label
_atom_site_type_symbol
_atom_site_fract_x
_atom_site_fract_y
_atom_site_fract_z
_atom_site_occupancy
Rb1 Rb 0.000 0.000 0.000 1
Ni1 Ni 0.000 0.500 0.250 1
Pb1 Pb 0.000 0.000 0.343 1
```

Most intense lines, 2θ from 10° to 90°, low angle first:
(hkl)  2theta  d [Å]  Rel. int.
0 0 2  14.60  6.067  223
1 0 1  20.21  4.393  184
1 1 0  26.75  3.333  339
1 0 3  29.09  3.069  1000
2 0 0  38.19  2.357  401
1 1 4  40.20  2.243  189
2 1 3  48.72  1.869  494
1 1 6  52.96  1.729  286
2 2 0  55.12  1.666  138
3 1 6  79.96  1.200  174

=====

Computed powder diffraction line list
Compound: Cs3Hg2Pd
Radiation: a wavelength of 1.5418 Å
Structure: a structure optimized by DFT (PBE)

Crystal structure
```
data_Cs3Hg2Pd
_chemical_formula_sum 'Cs12 Hg8 Pd4'
_cell_length_a 14.786
_cell_length_b 5.001
_cell_length_c 15.245
_cell_angle_alpha 90.00
_cell_angle_beta 90.00
_cell_angle_gamma 90.00
_symmetry_space_group_name_H-M 'P n m a'
_symmetry_Int_Tables_number 62
_symmetry_space_group_name_Hall '-P 2ac 2n'
loop_
_atom_site_label
_atom_site_type_symbol
_atom_site_fract_x
_atom_site_fract_y
_atom_site_fract_z
_atom_site_occupancy
Cs1 Cs 0.063 0.250 0.126 1
Cs2 Cs 0.107 0.750 0.553 1
Cs3 Cs 0.206 0.250 0.786 1
Hg1 Hg 0.050 0.750 0.319 1
Hg2 Hg 0.215 0.750 0.970 1
Pd1 Pd 0.130 0.250 0.365 1
```

Most intense lines, 2θ from 10° to 90°, low angle first:
(hkl)  2theta  d [Å]  Rel. int.
1 0 2  13.07  6.775  365
4 0 1  24.78  3.592  531
0 1 3  24.98  3.565  1000
1 1 3  25.71  3.465  348
3 1 1  26.05  3.421  811
3 1 2  27.98  3.189  349
2 0 5  31.75  2.819  405
4 1 2  32.32  2.770  402
0 2 0  35.91  2.501  571
5 1 3  39.60  2.276  461

=====

Computed powder diffraction line list
Compound: Pr4MgHg
Radiation: a wavelength of 1.5418 Å
Structure: a structure optimized by DFT (PBE)

Crystal structure
```
data_Pr4MgHg
_chemical_formula_sum 'Pr4 Mg1 Hg1'
_cell_length_a 5.215
_cell_length_b 5.209
_cell_length_c 7.981
_cell_angle_alpha 90.00
_cell_angle_beta 90.01
_cell_angle_gamma 90.00
_symmetry_space_group_name_H-M 'P 1 m 1'
_symmetry_Int_Tables_number 6
_symmetry_space_group_name_Hall 'P -2y'
loop_
_atom_site_label
_atom_site_type_symbol
_atom_site_fract_x
_atom_site_fract_y
_atom_site_fract_z
_atom_site_occupancy
Pr1 Pr 0.000 0.000 0.000 1
Pr2 Pr 0.000 0.000 0.480 1
Pr3 Pr 0.500 0.500 0.000 1
Pr4 Pr 0.500 0.500 0.480 1
Mg1 Mg 0.499 0.000 0.741 1
Hg1 Hg 0.000 0.500 0.240 1
```

Most intense lines, 2θ from 10° to 90°, low angle first:
(hkl)  2theta  d [Å]  Rel. int.
0 0 1  11.09  7.981  214
1 0 0  17.01  5.212  117
0 1 1  20.35  4.364  271
0 0 2  22.28  3.990  126
1 1 0  24.15  3.686  212
1 1 2  33.09  2.707  1000
2 0 0  34.41  2.606  455
2 2 0  49.46  1.843  164
2 0 4  58.24  1.584  192
3 1 2  60.81  1.523  261

=====

Computed powder diffraction line list
Compound: Ni5SbPt2
Radiation: a wavelength of 1.5418 Å
Structure: a structure optimized by DFT (PBE)

Crystal structure
```
data_Ni5SbPt2
_chemical_formula_sum 'Ni20 Sb4 Pt8'
_cell_length_a 5.347
_cell_length_b 7.255
_cell_length_c 10.895
_cell_angle_alpha 90.00
_cell_angle_beta 90.00
_cell_angle_gamma 90.00
_symmetry_space_group_name_H-M 'F m m m'
_symmetry_Int_Tables_number 69
_symmetry_space_group_name_Hall '-F 2 2'
loop_
_atom_site_label
_atom_site_type_symbol
_atom_site_fract_x
_atom_site_fract_y
_atom_site_fract_z
_atom_site_occupancy
Ni1 Ni 0.000 0.000 0.000 1
Ni2 Ni 0.250 0.250 0.122 1
Sb1 Sb 0.000 0.000 0.500 1
Pt1 Pt 0.000 0.000 0.242 1
```

Most intense lines, 2θ from 10° to 90°, low angle first:
(hkl)  2theta  d [Å]  Rel. int.
0 0 2  16.27  5.448  250
0 2 0  24.54  3.627  272
0 2 2  29.59  3.019  149
0 2 4  41.46  2.178  1000
2 2 0  41.98  2.152  983
2 0 4  47.66  1.908  664
0 4 0  50.30  1.814  306
2 4 4  71.81  1.315  378
2 2 8  84.12  1.151  234
4 2 4  85.17  1.139  241

=====

Computed powder diffraction line list
Compound: Tb2PrEr4Th
Radiation: a wavelength of 1.5418 Å
Structure: a structure optimized by DFT (PBE)

Crystal structure
```
data_Tb2PrEr4Th
_chemical_formula_sum 'Tb2 Pr1 Er4 Th1'
_cell_length_a 5.058
_cell_length_b 5.074
_cell_length_c 9.927
_cell_angle_alpha 90.00
_cell_angle_beta 90.00
_cell_angle_gamma 90.00
_symmetry_space_group_name_H-M 'P m m m'
_symmetry_Int_Tables_number 47
_symmetry_space_group_name_Hall '-P 2 2'
loop_
_atom_site_label
_atom_site_type_symbol
_atom_site_fract_x
_atom_site_fract_y
_atom_site_fract_z
_atom_site_occupancy
Tb1 Tb 0.000 0.000 0.000 1
Tb2 Tb 0.500 0.500 0.500 1
Pr1 Pr 0.000 0.000 0.500 1
Er1 Er 0.000 0.500 0.245 1
Er2 Er 0.500 0.000 0.245 1
Th1 Th 0.500 0.500 0.000 1
```

Most intense lines, 2θ from 10° to 90°, low angle first:
(hkl)  2theta  d [Å]  Rel. int.
1 1 2  30.78  2.905  1000
0 2 0  35.38  2.537  173
2 0 0  35.50  2.529  172
0 0 4  36.20  2.482  162
2 2 0  50.99  1.791  124
2 0 4  51.56  1.773  238
1 3 2  60.68  1.526  147
3 1 2  60.83  1.523  146
1 1 6  61.76  1.502  137
2 2 4  64.12  1.452  124